Structure and calculated powder X-ray diffraction pattern of K2SmP2S7 (a PBE-relaxed structure; Cu Ka).
No peak broadening, texture or thermal motion is included.

Structural model:
```
data_K2SmP2S7
_chemical_formula_sum 'K8 Sm4 P8 S28'
_space_group_name_H-M_alt 'C 1 2 1'
_space_group_IT_number 5
_space_group_name_Hall 'C 2y'
_cell_length_a 22.8683
_cell_length_b 6.8152
_cell_length_c 8.7520
_cell_angle_alpha 90.00
_cell_angle_beta 96.40
_cell_angle_gamma 90.00
loop_
_atom_site_label
_atom_site_type_symbol
_atom_site_fract_x
_atom_site_fract_y
_atom_site_fract_z
K1 K 0.0355 0.0000 0.2889
K2 K 0.1936 0.0342 0.8716
Sm1 Sm 0.1575 0.5157 0.4597
P1 P 0.0255 0.5042 0.6168
P2 P 0.2080 0.9692 0.2883
S1 S 0.0356 0.5077 0.2348
S2 S 0.0779 0.2615 0.6142
S3 S 0.0777 0.7482 0.6174
S4 S 0.1551 0.2062 0.2293
S5 S 0.1689 0.7288 0.1799
S6 S 0.2096 0.5103 0.7760
S7 S 0.2175 0.9021 0.5207
```

Main lines, low angle first (2θ from 5° to 70°):
two_theta	I_rel
7.8	200
10.2	1000
13.6	216
16.7	152
19.6	259
26.2	135
27.2	146
33.8	180
34.3	178
38.1	151



Structure and calculated powder X-ray diffraction pattern of Pa3Bi2H2 (a PBE-relaxed structure; Cu Ka).
No peak broadening, texture or thermal motion is included.

Structural model:
```
data_Pa3Bi2H2
_chemical_formula_sum 'Pa6 Bi4 H4'
_space_group_name_H-M_alt 'C 1 2/m 1'
_space_group_IT_number 12
_space_group_name_Hall '-C 2y'
_cell_length_a 10.3013
_cell_length_b 3.9018
_cell_length_c 8.7481
_cell_angle_alpha 90.00
_cell_angle_beta 125.67
_cell_angle_gamma 90.00
loop_
_atom_site_label
_atom_site_type_symbol
_atom_site_fract_x
_atom_site_fract_y
_atom_site_fract_z
Pa1 Pa 0.0000 0.0000 0.0000
Pa2 Pa 0.1379 0.5000 0.4387
Bi1 Bi 0.1765 0.0000 0.7744
H1 H 0.0046 0.5000 0.8804
```

Main lines, low angle first (2θ from 5° to 70°):
two_theta	I_rel
30.7	560
30.9	1000
35.4	813
37.0	269
41.9	146
46.6	191
51.6	205
56.8	205
60.5	178
60.9	131



Structure and calculated powder X-ray diffraction pattern of Tm4MgTl5 (a PBE-relaxed structure; Cu Ka).
No peak broadening, texture or thermal motion is included.

Structural model:
```
data_Tm4MgTl5
_chemical_formula_sum 'Tm4 Mg1 Tl5'
_space_group_name_H-M_alt 'P 4/m m m'
_space_group_IT_number 123
_space_group_name_Hall '-P 4 2'
_cell_length_a 3.6862
_cell_length_b 3.6862
_cell_length_c 19.1379
_cell_angle_alpha 90.00
_cell_angle_beta 90.00
_cell_angle_gamma 90.00
loop_
_atom_site_label
_atom_site_type_symbol
_atom_site_fract_x
_atom_site_fract_y
_atom_site_fract_z
Tm1 Tm 0.0000 0.0000 0.1026
Tm2 Tm 0.0000 0.0000 0.3080
Mg1 Mg 0.0000 0.0000 0.5000
Tl1 Tl 0.5000 0.5000 0.0000
Tl2 Tl 0.5000 0.5000 0.2037
Tl3 Tl 0.5000 0.5000 0.4081
```

Main lines, low angle first (2θ from 5° to 70°):
two_theta	I_rel
24.1	37
28.0	25
30.6	44
33.8	1000
34.4	491
47.5	88
49.5	180
55.8	33
60.0	177
61.2	368



Structure and calculated powder X-ray diffraction pattern of Pu2ScS4 (a PBE-relaxed structure; Cu Ka).
No peak broadening, texture or thermal motion is included.

Structural model:
```
data_Pu2ScS4
_chemical_formula_sum 'Pu8 Sc4 S16'
_space_group_name_H-M_alt 'C m c m'
_space_group_IT_number 63
_space_group_name_Hall '-C 2c 2'
_cell_length_a 3.7359
_cell_length_b 12.9552
_cell_length_c 13.0268
_cell_angle_alpha 90.00
_cell_angle_beta 90.00
_cell_angle_gamma 90.00
loop_
_atom_site_label
_atom_site_type_symbol
_atom_site_fract_x
_atom_site_fract_y
_atom_site_fract_z
Pu1 Pu 0.0000 0.1328 0.0733
Sc1 Sc 0.0000 0.3745 0.2500
S1 S 0.0000 0.0157 0.2500
S2 S 0.0000 0.2186 0.6267
S3 S 0.0000 0.5000 0.0000
```

Main lines, low angle first (2θ from 5° to 70°):
two_theta	I_rel
13.6	470
15.3	275
24.7	1000
24.8	376
27.5	253
31.7	344
32.4	487
34.6	399
47.5	320
55.4	283